# SrCaTbFeO6
Simulated PXRD pattern, Cu Kα X-rays. Input: a structure optimized by DFT (PBE+U).
Neutral-atom scattering factors, no anomalous dispersion.

Cell and atoms:
Cell lengths 5.735, 5.735, 5.735 Å; angles 60.00, 60.00, 60.00 degrees
Fractional positions:
Sr 0.000 0.000 0.000
Ca 0.500 0.500 0.500
Tb 0.750 0.750 0.750
Fe 0.250 0.250 0.250
O 0.019 0.019 0.481
O 0.019 0.481 0.019
O 0.019 0.481 0.481
O 0.481 0.019 0.019
O 0.481 0.019 0.481
O 0.481 0.481 0.019

Main lines, by angle (2θ = 15–90°):
18.95 deg, rel. 20; 21.92 deg, rel. 18; 31.19 deg, rel. 100; 36.75 deg, rel. 16; 44.69 deg, rel. 35; 48.95 deg, rel. 9; 50.31 deg, rel. 7; 55.51 deg, rel. 38; 59.20 deg, rel. 5; 65.05 deg, rel. 20; 73.91 deg, rel. 17; 82.38 deg, rel. 7